The following is a computed powder X-ray diffraction pattern of ZrH12C2N6F6. It was derived from DFT lattice parameters and positions (PBE), using Cu Kα (weighted mean of Kα1 and Kα2).
Lines closer than 0.1° are merged.

Top 10 peaks for 2θ from 15° to 90°, in order of rising 2θ:
| 2θ/deg | I (rel.) |
| --- | --- |
| 15.94 | 100.0 |
| 19.01 | 38.0 |
| 19.17 | 31.8 |
| 20.05 | 31.8 |
| 21.57 | 40.1 |
| 22.07 | 19.6 |
| 22.57 | 27.2 |
| 24.99 | 22.7 |
| 25.74 | 82.6 |
| 28.71 | 26.1 |

Crystal structure
Lattice parameters (Å, degrees): 8.2909 8.3923 10.0621 100.47 102.47 115.66
Space group P-1 (No. 2)
Inequivalent atoms, fractional coordinates:
Zr (0.0205, 0.3573, 0.3453)
H (0.1446, 0.0396, 0.3841)
H (0.1540, 0.8360, 0.3837)
H (0.1725, 0.1899, 0.0586)
H (0.1868, 0.0641, 0.9095)
H (0.2198, 0.4880, 0.0842)
H (0.2223, 0.1790, 0.7240)
H (0.2472, 0.3995, 0.7312)
H (0.2506, 0.5768, 0.9399)
H (0.3745, 0.7914, 0.3037)
H (0.4098, 0.0149, 0.6814)
H (0.4152, 0.3030, 0.3911)
H (0.4200, 0.7324, 0.6768)
C (0.2355, 0.3246, 0.9136)
C (0.3729, 0.0363, 0.3423)
N (0.2047, 0.9597, 0.3626)
N (0.2219, 0.1911, 0.9734)
N (0.2419, 0.4777, 0.9872)
N (0.2529, 0.3076, 0.7826)
N (0.4499, 0.9288, 0.3112)
N (0.4577, 0.2147, 0.3474)
F (0.0392, 0.2010, 0.1740)
F (0.0895, 0.6376, 0.4724)
F (0.1480, 0.9215, 0.6646)
F (0.1885, 0.5512, 0.2630)
F (0.2252, 0.6531, 0.7645)
F (0.2462, 0.3700, 0.4849)